Simulated PXRD pattern
Compound: YAl4Ag
Radiation: λ = 1.5418 Å (Cu Kα)
Structure: a structure optimized by DFT (PBE)
Peak positions follow from Bragg's law for the DFT cell and can differ from measured ones.

Crystal structure
```
data_YAl4Ag
_chemical_formula_sum 'Y4 Al16 Ag4'
_space_group_name_H-M_alt 'C 1 2/m 1'
_space_group_IT_number 12
_cell_length_a 19.780
_cell_length_b 4.614
_cell_length_c 5.244
_cell_angle_alpha 90.00
_cell_angle_beta 105.25
_cell_angle_gamma 90.00
loop_
_space_group_symop_operation_xyz
'x,y,z'
'-x,-y,-z'
'-x,y,-z'
'x,-y,z'
'x+1/2,y+1/2,z'
'-x+1/2,-y+1/2,-z'
'-x+1/2,y+1/2,-z'
'x+1/2,-y+1/2,z'
loop_
_atom_site_label
_atom_site_fract_x
_atom_site_fract_y
_atom_site_fract_z
Y1 0.250 0.000 0.236
Al1 0.079 0.500 0.645
Al2 0.080 0.000 0.008
Al3 0.146 0.000 0.575
Al4 0.146 0.500 0.213
Ag1 0.000 0.000 0.500
Ag2 0.000 0.500 0.000
```

Most intense lines, 2θ = 5–70°, by angle:
| two_theta | I (rel.) | h k l |
| --- | --- | --- |
| 18.6 | 42 | 4 0 0 |
| 27.4 | 100 | 1 1 1 |
| 34.2 | 39 | 2 0 -2 |
| 37.7 | 15 | 8 0 0 |
| 38.4 | 62 | 5 1 1 |
| 38.5 | 62 | 7 1 -1 |
| 39.0 | 35 | 0 2 0 |
| 39.2 | 18 | 2 0 2 |
| 52.9 | 21 | 2 2 -2 |
| 57.2 | 16 | 5 1 -3 |

=====

Simulated PXRD pattern
Compound: HoPu2Cu2Si2
Radiation: λ = 1.5418 Å (Cu Kα)
Structure: a structure optimized by DFT (PBE)
Peak positions follow from Bragg's law for the DFT cell and can differ from measured ones.

Crystal structure
```
data_HoPu2Cu2Si2
_chemical_formula_sum 'Ho3 Pu6 Cu6 Si6'
_space_group_name_H-M_alt 'R -3 m'
_space_group_IT_number 166
_space_group_name_Hall '-R 3 2"'
_cell_length_a 3.9557
_cell_length_b 3.9557
_cell_length_c 26.4716
_cell_angle_alpha 90.00
_cell_angle_beta 90.00
_cell_angle_gamma 120.00
loop_
_atom_site_label
_atom_site_fract_x
_atom_site_fract_y
_atom_site_fract_z
Ho1 0.0000 0.0000 0.0000
Pu1 0.0000 0.0000 0.1497
Cu1 0.0000 0.0000 0.4071
Si1 0.0000 0.0000 0.2580
```

Most intense lines, 2θ = 5–70°, by angle:
| two_theta | I (rel.) | h k l |
| --- | --- | --- |
| 10.0 | 71 | 0 0 3 |
| 20.1 | 32 | 0 0 6 |
| 26.2 | 43 | 1 0 1 |
| 29.4 | 21 | 1 0 4 |
| 31.1 | 22 | 0 1 5 |
| 35.4 | 100 | 1 0 7 |
| 37.8 | 21 | 0 1 8 |
| 45.9 | 65 | 1 1 0 |
| 52.3 | 19 | 1 0 13 |
| 59.2 | 23 | 0 2 7 |

=====

Simulated PXRD pattern
Compound: BaTl2Pt
Radiation: λ = 1.5418 Å (Cu Kα)
Structure: a structure optimized by DFT (PBE)
Peak positions follow from Bragg's law for the DFT cell and can differ from measured ones.

Crystal structure
```
data_BaTl2Pt
_chemical_formula_sum 'Ba1 Tl2 Pt1'
_space_group_name_H-M_alt 'P 4 m m'
_space_group_IT_number 99
_cell_length_a 3.844
_cell_length_b 3.844
_cell_length_c 7.913
_cell_angle_alpha 90.00
_cell_angle_beta 90.00
_cell_angle_gamma 90.00
loop_
_space_group_symop_operation_xyz
'x,y,z'
'-y,x,z'
'-x,-y,z'
'y,-x,z'
'-x,y,z'
'y,x,z'
'x,-y,z'
'-y,-x,z'
loop_
_atom_site_label
_atom_site_fract_x
_atom_site_fract_y
_atom_site_fract_z
Ba1 0.000 0.000 0.000
Tl1 0.000 0.000 0.418
Tl2 0.500 0.500 0.661
Pt1 0.500 0.500 0.250
```

Most intense lines, 2θ = 5–70°, by angle:
| two_theta | I (rel.) | h k l |
| --- | --- | --- |
| 11.2 | 27 | 0 0 1 |
| 32.5 | 100 | 1 0 2 |
| 33.0 | 65 | 1 1 0 |
| 41.5 | 24 | 1 0 3 |
| 47.3 | 24 | 2 0 0 |
| 48.1 | 9 | 1 1 3 |
| 58.5 | 38 | 2 1 2 |
| 63.6 | 8 | 1 0 5 |
| 64.7 | 13 | 2 1 3 |
| 68.6 | 9 | 1 1 5 |

=====

Simulated PXRD pattern
Compound: AcZnHgPt3
Radiation: λ = 1.5418 Å (Cu Kα)
Structure: a structure optimized by DFT (PBE)
Peak positions follow from Bragg's law for the DFT cell and can differ from measured ones.

Crystal structure
```
data_AcZnHgPt3
_chemical_formula_sum 'Ac4 Zn4 Hg4 Pt12'
_space_group_name_H-M_alt 'C m c m'
_space_group_IT_number 63
_space_group_name_Hall '-C 2c 2'
_cell_length_a 7.183
_cell_length_b 12.790
_cell_length_c 5.889
_cell_angle_alpha 90.00
_cell_angle_beta 90.00
_cell_angle_gamma 90.00
loop_
_atom_site_label
_atom_site_fract_x
_atom_site_fract_y
_atom_site_fract_z
Ac1 0.000 0.202 0.250
Zn1 0.000 0.126 0.750
Hg1 0.000 0.457 0.250
Pt1 0.000 0.317 0.750
Pt2 0.190 0.000 0.000
```

Most intense lines, 2θ = 5–70°, by angle:
| two_theta | I (rel.) | h k l |
| --- | --- | --- |
| 13.8 | 41 | 0 2 0 |
| 24.8 | 30 | 2 0 0 |
| 27.9 | 28 | 0 4 0 |
| 28.5 | 44 | 2 2 0 |
| 31.8 | 63 | 0 4 1 |
| 33.5 | 45 | 0 2 2 |
| 33.6 | 29 | 1 1 2 |
| 38.2 | 30 | 3 1 0 |
| 39.6 | 100 | 2 0 2 |
| 40.8 | 65 | 2 4 1 |

=====

Simulated PXRD pattern
Compound: Ce3TmAs4
Radiation: λ = 1.5418 Å (Cu Kα)
Structure: a structure optimized by DFT (PBE)
Peak positions follow from Bragg's law for the DFT cell and can differ from measured ones.

Crystal structure
```
data_Ce3TmAs4
_chemical_formula_sum 'Ce3 Tm1 As4'
_space_group_name_H-M_alt 'P m -3 m'
_space_group_IT_number 221
_space_group_name_Hall '-P 4 2 3'
_cell_length_a 5.910
_cell_length_b 5.910
_cell_length_c 5.910
_cell_angle_alpha 90.00
_cell_angle_beta 90.00
_cell_angle_gamma 90.00
loop_
_atom_site_label
_atom_site_fract_x
_atom_site_fract_y
_atom_site_fract_z
Ce1 0.000 0.000 0.500
Tm1 0.500 0.500 0.500
As1 0.000 0.000 0.000
As2 0.000 0.500 0.500
```

Most intense lines, 2θ = 5–70°, by angle:
| two_theta | I (rel.) | h k l |
| --- | --- | --- |
| 26.1 | 18 | 1 1 1 |
| 30.2 | 100 | 2 0 0 |
| 43.3 | 75 | 2 2 0 |
| 51.3 | 9 | 3 1 1 |
| 53.7 | 26 | 2 2 2 |
| 62.9 | 12 | 4 0 0 |
| 69.3 | 4 | 3 3 1 |

=====

Simulated PXRD pattern
Compound: BiAsP
Radiation: λ = 1.5418 Å (Cu Kα)
Structure: a structure optimized by DFT (PBE)
Peak positions follow from Bragg's law for the DFT cell and can differ from measured ones.

Crystal structure
```
data_BiAsP
_chemical_formula_sum 'Bi2 As2 P2'
_space_group_name_H-M_alt 'P m c 21'
_space_group_IT_number 26
_cell_length_a 4.922
_cell_length_b 5.588
_cell_length_c 6.271
_cell_angle_alpha 90.00
_cell_angle_beta 90.00
_cell_angle_gamma 90.00
loop_
_space_group_symop_operation_xyz
'x,y,z'
'-x,-y,z+1/2'
'-x,y,z'
'x,-y,z+1/2'
loop_
_atom_site_label
_atom_site_fract_x
_atom_site_fract_y
_atom_site_fract_z
Bi1 0.000 0.049 0.000
As1 0.500 0.286 0.548
P1 0.500 0.319 0.928
```

Most intense lines, 2θ = 5–70°, by angle:
| two_theta | I (rel.) | h k l |
| --- | --- | --- |
| 15.9 | 67 | 0 1 0 |
| 24.1 | 100 | 1 1 0 |
| 28.0 | 35 | 1 1 1 |
| 28.5 | 54 | 0 0 2 |
| 32.7 | 27 | 0 1 2 |
| 36.5 | 33 | 2 0 0 |
| 37.0 | 43 | 1 2 0 |
| 37.6 | 60 | 1 1 2 |
| 46.9 | 28 | 2 0 2 |
| 47.3 | 37 | 1 2 2 |